Record 1
Computed powder diffractogram
Compound: MgB14Ir
Radiation: Cu Kα X-rays
Structure: a PBE-relaxed structure
Kinematic intensities with the Lorentz-polarization factor, no thermal factor.

Most intense lines, 2θ = 10–80°, sorted by position:
d 6.618, I 100
d 5.158, I 31
d 4.314, I 18
d 3.309, I 26
d 3.194, I 18
d 2.639, I 32
d 2.213, I 13
d 2.172, I 16
d 2.138, I 22
d 1.996, I 13

Structural model:
```
32
Lattice="-2.878 5.158 4.314 2.878 -5.158 4.314 2.878 5.158 -4.314" Properties=species:S:1:pos:R:3 pbc="T T T"
Mg 0.000 2.579 1.587
Mg 2.878 2.579 2.727
B 2.878 -1.074 1.208
B 1.432 0.854 -0.263
B 4.323 0.854 -0.263
B 2.878 -3.409 3.790
B 1.953 0.462 1.439
B 3.803 0.462 1.439
B 2.878 1.681 0.489
B 2.878 4.084 -1.208
B 2.878 -1.749 3.790
B 1.953 5.620 -1.439
B 0.925 0.462 2.875
B 1.432 4.304 -0.263
B 1.445 -0.854 4.051
B 2.878 3.477 0.489
B 0.000 1.681 3.825
B 1.432 6.011 0.263
B 1.445 0.854 4.577
B 1.953 4.695 1.439
B 0.925 -0.462 5.753
B 0.000 6.907 0.524
B 0.000 1.074 5.522
B 0.000 3.477 3.825
B -0.925 4.695 2.875
B 0.925 4.695 2.875
B 0.000 8.566 0.524
B -1.445 4.304 4.577
B 1.445 4.304 4.577
B 0.000 6.232 3.106
Ir 1.439 2.579 -2.157
Ir 1.439 -2.579 2.157
```



Record 2
Computed powder diffractogram
Compound: B2Mo3Ir2
Radiation: Cu Kα X-rays
Structure: a PBE-relaxed structure
Kinematic intensities with the Lorentz-polarization factor, no thermal factor.

Most intense lines, 2θ = 10–80°, sorted by position:
d 3.369, I 54
d 2.536, I 63
d 2.104, I 100
d 2.074, I 78
d 1.620, I 16
d 1.477, I 26
d 1.283, I 15
d 1.215, I 17
d 1.209, I 27
d 1.206, I 15

Structural model:
```
7
Lattice="2.104 1.215 5.885 -2.104 1.215 5.885 0.000 -2.430 5.885" Properties=species:S:1:pos:R:3 pbc="T T T"
B 0.000 0.000 0.000
B 0.000 0.000 7.654
Mo 0.000 0.000 5.291
Mo 0.000 0.000 10.069
Mo 0.000 0.000 15.228
Ir 0.000 0.000 2.242
Ir 0.000 0.000 12.659
```



Record 3
Computed powder diffractogram
Compound: PrNd2B2Ir2N3
Radiation: Cu Kα X-rays
Structure: a PBE-relaxed structure
Kinematic intensities with the Lorentz-polarization factor, no thermal factor.

Most intense lines, 2θ = 10–80°, sorted by position:
d 5.104, I 23
d 3.306, I 59
d 2.775, I 49
d 2.587, I 100
d 2.552, I 60
d 2.369, I 80
d 2.103, I 54
d 1.891, I 53
d 1.623, I 29
d 1.519, I 48

Structural model:
```
10
Lattice="-1.891 1.891 10.208 1.891 -1.891 10.208 1.891 1.891 -10.208" Properties=species:S:1:pos:R:3 pbc="T T T"
Pr 0.000 0.000 0.000
Nd 0.000 0.000 7.686
Nd 0.000 0.000 12.730
B 0.000 0.000 3.949
B 0.000 0.000 16.467
Ir 1.891 0.000 5.104
Ir 0.000 1.891 5.104
N 0.000 0.000 2.458
N 0.000 0.000 10.208
N 0.000 0.000 17.959
```



Record 4
Computed powder diffractogram
Compound: Sm2NiB2IrN2
Radiation: Cu Kα X-rays
Structure: a PBE-relaxed structure
Kinematic intensities with the Lorentz-polarization factor, no thermal factor.

Most intense lines, 2θ = 10–80°, sorted by position:
d 3.295, I 82
d 2.640, I 57
d 2.547, I 52
d 2.447, I 100
d 2.140, I 67
d 1.826, I 42
d 1.597, I 22
d 1.536, I 27
d 1.502, I 21
d 1.484, I 39

Structural model:
```
8
Lattice="3.653 0.000 0.000 0.000 3.653 0.000 0.000 0.000 7.640" Properties=species:S:1:pos:R:3 pbc="T T T"
Sm 0.000 1.826 1.261
Sm 1.826 0.000 6.379
Ni 1.826 1.826 3.820
B 0.000 1.826 5.006
B 1.826 0.000 2.634
Ir 0.000 0.000 3.820
N 0.000 1.826 6.489
N 1.826 0.000 1.151
```



Record 5
Computed powder diffractogram
Compound: PrYB2Ir2N2
Radiation: Cu Kα X-rays
Structure: a PBE-relaxed structure
Kinematic intensities with the Lorentz-polarization factor, no thermal factor.

Most intense lines, 2θ = 10–80°, sorted by position:
d 7.543, I 85
d 3.773, I 19
d 3.385, I 23
d 2.673, I 20
d 2.524, I 100
d 2.514, I 37
d 2.184, I 65
d 1.894, I 35
d 1.542, I 25
d 1.513, I 31

Structural model:
```
8
Lattice="3.787 0.000 0.000 0.000 3.787 0.000 0.000 0.000 7.543" Properties=species:S:1:pos:R:3 pbc="T T T"
Pr 0.000 0.000 0.000
Y 1.894 1.894 5.059
B 0.000 0.000 3.660
B 1.894 1.894 1.361
Ir 0.000 1.894 2.539
Ir 1.894 0.000 2.539
N 0.000 0.000 5.147
N 1.894 1.894 7.396
```



Record 6
Computed powder diffractogram
Compound: Nd2B4IrPd4
Radiation: Cu Kα X-rays
Structure: a PBE-relaxed structure
Kinematic intensities with the Lorentz-polarization factor, no thermal factor.

Most intense lines, 2θ = 10–80°, sorted by position:
d 3.058, I 92
d 2.559, I 35
d 2.502, I 54
d 2.397, I 100
d 2.313, I 51
d 2.013, I 20
d 1.867, I 17
d 1.698, I 18
d 1.423, I 21
d 1.265, I 18

Structural model:
```
11
Lattice="0.000 5.003 5.956 2.731 0.000 5.956 2.731 5.003 0.000" Properties=species:S:1:pos:R:3 pbc="T T T"
Nd 2.731 5.003 1.740
Nd 2.731 5.003 10.172
B 2.731 3.514 4.384
B 2.731 3.514 7.527
B 2.731 6.493 4.384
B 2.731 6.493 7.527
Ir 2.731 5.003 5.956
Pd 1.365 2.502 0.000
Pd 1.365 2.502 2.978
Pd 1.365 2.502 5.956
Pd 4.096 7.505 8.933
```



Record 7
Computed powder diffractogram
Compound: Tm2Ni4B4Ir
Radiation: Cu Kα X-rays
Structure: a PBE-relaxed structure
Kinematic intensities with the Lorentz-polarization factor, no thermal factor.

Most intense lines, 2θ = 10–80°, sorted by position:
d 4.600, I 19
d 2.899, I 100
d 2.455, I 17
d 2.300, I 33
d 2.187, I 58
d 2.164, I 51
d 1.576, I 17
d 1.503, I 14
d 1.364, I 12
d 1.305, I 12

Structural model:
```
11
Lattice="0.000 4.600 5.807 2.486 0.000 5.807 2.486 4.600 0.000" Properties=species:S:1:pos:R:3 pbc="T T T"
Tm 2.486 4.600 1.675
Tm 2.486 4.600 9.939
Ni 1.243 2.300 0.000
Ni 1.243 2.300 2.904
Ni 1.243 2.300 5.807
Ni 3.728 6.899 8.711
B 2.486 3.100 4.268
B 2.486 3.100 7.346
B 2.486 6.099 4.268
B 2.486 6.099 7.346
Ir 2.486 4.600 5.807
```



Record 8
Computed powder diffractogram
Compound: TbSmB2Ir2O2
Radiation: Cu Kα X-rays
Structure: a PBE-relaxed structure
Kinematic intensities with the Lorentz-polarization factor, no thermal factor.

Most intense lines, 2θ = 10–80°, sorted by position:
d 7.331, I 71
d 3.395, I 47
d 2.648, I 18
d 2.540, I 100
d 2.444, I 40
d 2.178, I 88
d 1.915, I 44
d 1.518, I 15
d 1.507, I 36
d 1.289, I 19

Structural model:
```
8
Lattice="3.830 0.000 0.000 0.000 3.830 0.000 0.000 0.000 7.331" Properties=species:S:1:pos:R:3 pbc="T T T"
Tb 0.000 0.000 0.000
Sm 1.915 1.915 2.705
B 0.000 0.000 3.919
B 1.915 1.915 6.140
Ir 0.000 1.915 5.041
Ir 1.915 0.000 5.041
O 0.000 0.000 2.381
O 1.915 1.915 0.328
```